The following is a computed powder X-ray diffraction pattern of Tm3CoRh. It was derived from a cell relaxed with PBE, using Cu Ka.
Kinematic intensities with the Lorentz-polarization factor, no thermal factor.

Most intense lines, 2θ from 10° to 80°, low angle first:
2θ = 30.62°, I = 76.8; 2θ = 31.55°, I = 25.2; 2θ = 32.53°, I = 27.7; 2θ = 33.15°, I = 36.4; 2θ = 33.58°, I = 100.0; 2θ = 34.52°, I = 51.2; 2θ = 36.80°, I = 63.7; 2θ = 38.50°, I = 58.0; 2θ = 41.08°, I = 26.6; 2θ = 46.94°, I = 41.9

Crystal structure
```
data_Tm3CoRh
_chemical_formula_sum 'Tm6 Co2 Rh2'
_symmetry_space_group_name_H-M 'P 1 21/m 1'
_symmetry_Int_Tables_number 11
_cell_length_a 7.4394
_cell_length_b 3.8713
_cell_length_c 8.0095
_cell_angle_alpha 90.00
_cell_angle_beta 109.59
_cell_angle_gamma 90.00
loop_
_symmetry_equiv_pos_as_xyz
'x,y,z'
'-x,-y,-z'
'-x,y+1/2,-z'
'x,-y+1/2,z'
loop_
_atom_site_label
_atom_site_fract_x
_atom_site_fract_y
_atom_site_fract_z
Tm1 0.0876 0.2500 0.2343
Tm2 0.3100 0.2500 0.9263
Tm3 0.3584 0.7500 0.5957
Co1 0.0523 0.2500 0.5780
Rh1 0.3598 0.7500 0.1960
```